Nd6TmCd5: computed X-ray diffraction stick pattern (a wavelength of 1.5418 Å), based on the PBE geometry in Alexandria.
Peak positions follow from Bragg's law for the DFT cell and can differ from measured ones.

Crystal structure
Unit cell a=5.4799 b=7.6740 c=8.7784 alpha=90.00 beta=108.16 gamma=90.00
Space group P2/m (No. 10)
Unique sites:
Nd: 0.0000 0.2359 0.0000
Nd: 0.3304 0.2509 0.6571
Tm: 0.5000 0.5000 0.0000
Cd: 0.1541 0.5000 0.3117
Cd: 0.1634 0.0000 0.3327
Cd: 0.5000 0.0000 0.0000

Main lines, in order of rising 2θ (15° ≤ 2θ ≤ 90°):
| index | 2theta | d [Å] | I (rel.) |
| --- | --- | --- | --- |
| 0 0 3 | 32.2 | 2.780 | 20.4 |
| 2 0 -1 | 32.7 | 2.737 | 100.0 |
| 2 0 2 | 46.5 | 1.952 | 14.5 |
| 1 2 4 | 57.7 | 1.597 | 14.4 |
| 3 2 0 | 58.4 | 1.581 | 22.0 |
| 2 4 -1 | 58.8 | 1.572 | 7.2 |

YTh2As2Rh7: computed X-ray diffraction stick pattern (a wavelength of 1.5418 Å), based on the PBE geometry in Alexandria.
Peak positions follow from Bragg's law for the DFT cell and can differ from measured ones.

Crystal structure
Unit cell a=5.8111 b=5.7551 c=13.4630 alpha=90.00 beta=98.48 gamma=90.00
Space group C2/m (No. 12)
Unique sites:
Y: 0.0000 0.0000 0.0000
Th: 0.1124 0.0000 0.3486
As: 0.0856 0.5000 0.2543
Rh: 0.0000 0.5000 0.0000
Rh: 0.1641 0.5000 0.4372
Rh: 0.1963 0.2495 0.8418

Main lines, in order of rising 2θ (15° ≤ 2θ ≤ 90°):
| index | 2theta | d [Å] | I (rel.) |
| --- | --- | --- | --- |
| 0 2 1 | 31.8 | 2.813 | 29.3 |
| 2 0 -3 | 34.6 | 2.593 | 27.4 |
| 2 0 2 | 35.8 | 2.507 | 40.6 |
| 1 1 4 | 36.6 | 2.453 | 48.7 |
| 0 2 3 | 37.2 | 2.415 | 75.0 |
| 2 2 -1 | 44.4 | 2.041 | 100.0 |

La3NdPb2Se: computed X-ray diffraction stick pattern (a wavelength of 1.5418 Å), based on the PBE geometry in Alexandria.
Peak positions follow from Bragg's law for the DFT cell and can differ from measured ones.

Crystal structure
Unit cell a=5.4652 b=5.5198 c=17.0132 alpha=90.00 beta=90.00 gamma=90.00
Space group Immm (No. 71)
Unique sites:
La: 0.0000 0.0000 0.0000
La: 0.0000 0.5000 0.1743
Nd: 0.0000 0.0000 0.5000
Pb: 0.0000 0.5000 0.3677
Se: 0.0000 0.5000 0.0000

Main lines, in order of rising 2θ (15° ≤ 2θ ≤ 90°):
| index | 2theta | d [Å] | I (rel.) |
| --- | --- | --- | --- |
| 1 1 0 | 22.9 | 3.884 | 51.8 |
| 1 1 2 | 25.2 | 3.533 | 56.8 |
| 0 1 5 | 30.9 | 2.893 | 50.3 |
| 1 1 4 | 31.2 | 2.868 | 100.0 |
| 0 2 0 | 32.4 | 2.760 | 51.3 |
| 2 0 0 | 32.8 | 2.733 | 49.9 |

ScCuHg2: computed X-ray diffraction stick pattern (a wavelength of 1.5418 Å), based on the PBE geometry in Alexandria.
Peak positions follow from Bragg's law for the DFT cell and can differ from measured ones.

Crystal structure
Unit cell a=6.7459 b=6.7459 c=6.7459 alpha=90.00 beta=90.00 gamma=90.00
Space group F-43m (No. 216)
Unique sites:
Sc: 0.0000 0.0000 0.0000
Cu: 0.2500 0.2500 0.2500
Hg: 0.0000 0.0000 0.5000
Hg: 0.2500 0.2500 0.7500

Main lines, in order of rising 2θ (15° ≤ 2θ ≤ 90°):
| index | 2theta | d [Å] | I (rel.) |
| --- | --- | --- | --- |
| 1 1 1 | 22.8 | 3.895 | 35.9 |
| 2 2 0 | 37.7 | 2.385 | 100.0 |
| 3 1 1 | 44.5 | 2.034 | 20.2 |
| 4 0 0 | 54.4 | 1.686 | 17.3 |
| 4 2 2 | 68.1 | 1.377 | 35.1 |
| 4 4 0 | 80.6 | 1.193 | 11.1 |